# 1
The following is a calculated PXRD pattern of ErPd3. It was derived from DFT lattice parameters and positions (PBE), using copper Kα.
Neutral-atom scattering factors, no anomalous dispersion.

Cell and atoms:
```
data_ErPd3
_space_group_name_H-M_alt 'P m -3 m'
_space_group_IT_number 221
_space_group_name_Hall '-P 4 2 3'
_cell_length_a 4.1098
_cell_length_b 4.1098
_cell_length_c 4.1098
_cell_angle_alpha 90.00
_cell_angle_beta 90.00
_cell_angle_gamma 90.00
loop_
_atom_site_label
_atom_site_type_symbol
_atom_site_fract_x
_atom_site_fract_y
_atom_site_fract_z
Er1 Er 0.0000 0.0000 0.0000
Pd1 Pd 0.0000 0.5000 0.5000
```

Most intense lines, 10° ≤ 2θ ≤ 90°, most intense first:
index  d/Å  I/Imax
1 1 1  2.373  1000
2 0 0  2.055  489
3 1 1  1.239  371
2 2 0  1.453  316
2 2 2  1.186  108
1 0 0  4.110  40
1 1 0  2.906  35
2 1 0  1.838  20
2 1 1  1.678  15
3 0 0  1.370  10

***

# 2
The following is a calculated PXRD pattern of Er3Pd2. It was derived from DFT lattice parameters and positions (PBE), using copper Kα.
Neutral-atom scattering factors, no anomalous dispersion.

Cell and atoms:
```
data_Er3Pd2
_space_group_name_H-M_alt 'P 4/m b m'
_space_group_IT_number 127
_space_group_name_Hall '-P 4 2ab'
_cell_length_a 7.7263
_cell_length_b 7.7263
_cell_length_c 3.9403
_cell_angle_alpha 90.00
_cell_angle_beta 90.00
_cell_angle_gamma 90.00
loop_
_atom_site_label
_atom_site_type_symbol
_atom_site_fract_x
_atom_site_fract_y
_atom_site_fract_z
Er1 Er 0.0000 0.0000 0.0000
Er2 Er 0.1637 0.3363 0.5000
Pd1 Pd 0.1345 0.6345 0.0000
```

Most intense lines, 10° ≤ 2θ ≤ 90°, most intense first:
index  d/Å  I/Imax
2 1 1  2.598  1000
3 1 0  2.443  512
2 0 1  2.759  300
3 1 2  1.534  243
0 0 2  1.970  167
5 2 1  1.348  157
1 1 1  3.196  127
4 1 1  1.692  122
2 2 0  2.732  98
2 1 3  1.228  94

***

# 3
The following is a calculated PXRD pattern of Er3Pd4. It was derived from DFT lattice parameters and positions (PBE), using copper Kα.
Neutral-atom scattering factors, no anomalous dispersion.

Cell and atoms:
```
data_Er3Pd4
_space_group_name_H-M_alt 'R -3'
_space_group_IT_number 148
_space_group_name_Hall '-R 3'
_cell_length_a 13.1674
_cell_length_b 13.1674
_cell_length_c 5.7107
_cell_angle_alpha 90.00
_cell_angle_beta 90.00
_cell_angle_gamma 120.00
loop_
_atom_site_label
_atom_site_type_symbol
_atom_site_fract_x
_atom_site_fract_y
_atom_site_fract_z
Er1 Er 0.0434 0.2106 0.2363
Pd1 Pd 0.0000 0.0000 0.0000
Pd2 Pd 0.0000 0.0000 0.5000
Pd3 Pd 0.0539 0.2719 0.7203
```

Most intense lines, 10° ≤ 2θ ≤ 90°, most intense first:
index  d/Å  I/Imax
1 4 0  2.488  1000
3 -2 2  2.380  851
4 -3 1  2.768  493
1 0 4  1.416  172
4 2 2  1.720  172
5 1 1  1.928  172
2 0 2  2.552  167
3 1 2  2.119  165
4 3 1  1.781  131
9 -4 1  1.415  106

***

# 4
The following is a calculated PXRD pattern of ErPd2. It was derived from DFT lattice parameters and positions (PBE), using copper Kα.
Neutral-atom scattering factors, no anomalous dispersion.

Cell and atoms:
```
data_ErPd2
_space_group_name_H-M_alt 'I 4/m m m'
_space_group_IT_number 139
_space_group_name_Hall '-I 4 2'
_cell_length_a 3.9497
_cell_length_b 3.9497
_cell_length_c 8.3280
_cell_angle_alpha 90.00
_cell_angle_beta 90.00
_cell_angle_gamma 90.00
loop_
_atom_site_label
_atom_site_type_symbol
_atom_site_fract_x
_atom_site_fract_y
_atom_site_fract_z
Er1 Er 0.0000 0.0000 0.0000
Pd1 Pd 0.0000 0.5000 0.2500
```

Most intense lines, 10° ≤ 2θ ≤ 90°, most intense first:
index  d/Å  I/Imax
1 1 2  2.319  1000
1 0 1  3.569  595
2 0 0  1.975  309
3 1 2  1.196  238
2 0 4  1.433  216
0 0 4  2.082  181
1 0 3  2.271  177
2 1 1  1.728  154
1 1 6  1.243  134
2 2 4  1.160  109

***

# 5
The following is a calculated PXRD pattern of PmErPd2. It was derived from DFT lattice parameters and positions (PBE), using copper Kα.
Neutral-atom scattering factors, no anomalous dispersion.

Cell and atoms:
```
data_PmErPd2
_space_group_name_H-M_alt 'F m -3 m'
_space_group_IT_number 225
_space_group_name_Hall '-F 4 2 3'
_cell_length_a 7.1010
_cell_length_b 7.1010
_cell_length_c 7.1010
_cell_angle_alpha 90.00
_cell_angle_beta 90.00
_cell_angle_gamma 90.00
loop_
_atom_site_label
_atom_site_type_symbol
_atom_site_fract_x
_atom_site_fract_y
_atom_site_fract_z
Pm1 Pm 0.0000 0.0000 0.0000
Er1 Er 0.0000 0.0000 0.5000
Pd1 Pd 0.2500 0.2500 0.2500
```

Most intense lines, 10° ≤ 2θ ≤ 90°, most intense first:
index  d/Å  I/Imax
2 2 0  2.511  1000
4 2 2  1.449  359
4 0 0  1.775  176
6 2 0  1.123  160
4 4 0  1.255  111
2 0 0  3.551  39
4 2 0  1.588  17
2 2 2  2.050  12
6 0 0  1.184  9

***

# 6
The following is a calculated PXRD pattern of Er2PdRu. It was derived from DFT lattice parameters and positions (PBE), using copper Kα.
Neutral-atom scattering factors, no anomalous dispersion.

Cell and atoms:
```
data_Er2PdRu
_space_group_name_H-M_alt 'F m -3 m'
_space_group_IT_number 225
_space_group_name_Hall '-F 4 2 3'
_cell_length_a 6.8434
_cell_length_b 6.8434
_cell_length_c 6.8434
_cell_angle_alpha 90.00
_cell_angle_beta 90.00
_cell_angle_gamma 90.00
loop_
_atom_site_label
_atom_site_type_symbol
_atom_site_fract_x
_atom_site_fract_y
_atom_site_fract_z
Er1 Er 0.2500 0.2500 0.2500
Pd1 Pd 0.0000 0.0000 0.0000
Ru1 Ru 0.0000 0.0000 0.5000
```

Most intense lines, 10° ≤ 2θ ≤ 90°, most intense first:
index  d/Å  I/Imax
2 2 0  2.419  1000
4 2 2  1.397  353
4 0 0  1.711  174
4 4 0  1.210  110
2 0 0  3.422  58
4 2 0  1.530  25
2 2 2  1.976  18
6 0 0  1.141  13